RbVCd2O4: theoretical powder X-ray diffraction pattern (Cu Kα, 1.54184 Å), based on a cell relaxed with GGA+U.

Most intense lines, 2θ = 10–90°, by angle:
28.3 deg, d = 3.154 Å, I = 78, (0 2 1); 32.0 deg, d = 2.798 Å, I = 100, (2 2 -1); 32.1 deg, d = 2.788 Å, I = 33, (2 0 -2); 40.3 deg, d = 2.237 Å, I = 21, (0 4 0); 40.6 deg, d = 2.223 Å, I = 18, (0 0 2); 52.4 deg, d = 1.746 Å, I = 33, (2 4 0); 52.5 deg, d = 1.743 Å, I = 16, (2 2 1); 52.6 deg, d = 1.739 Å, I = 16, (2 2 -3); 59.2 deg, d = 1.561 Å, I = 12, (4 2 -1); 59.3 deg, d = 1.558 Å, I = 12, (4 2 -3)

Structure:
a b c (Å): 7.1749 8.9492 5.7052
angles (deg): 90.00 128.80 90.00
Space group Cm (No. 8)
Symmetry-distinct sites (fractional):
1 Rb 0.0000 0.0000 0.0000 x2
2 V 0.0001 0.5000 0.9998 x2
3 Cd 0.4988 0.2499 0.4998 x4
4 O 0.0180 0.5000 0.3228 x2
5 O 0.1433 0.3387 0.0000 x4
6 O 0.1961 0.0000 0.6769 x2